(1)
Starting from a GGA-PBE-relaxed structure, the powder diffraction line list of SnF3 was simulated for λ = 1.5418 Å (Cu Kα).

Main lines, in order of rising 2θ (10° ≤ 2θ ≤ 90°):
d 4.638, 19.14 deg, intensity 53; d 4.174, 21.29 deg, intensity 26; d 3.958, 22.46 deg, intensity 49; d 3.926, 22.65 deg, intensity 51; d 3.891, 22.85 deg, intensity 43; d 3.738, 23.80 deg, intensity 100; d 3.421, 26.05 deg, intensity 23; d 3.196, 27.92 deg, intensity 23; d 2.221, 40.63 deg, intensity 27; d 2.189, 41.25 deg, intensity 25

Structure:
a = 4.192 Å, b = 7.503 Å, c = 9.292 Å
α = 89.24°, β = 86.64°, γ = 85.79°
Element x y z (fractional)
1 Sn 0.039 0.223 0.306
2 Sn 0.226 0.759 0.166
3 Sn 0.774 0.241 0.834
4 Sn 0.961 0.777 0.694
5 F 0.135 0.852 0.363
6 F 0.233 0.698 0.962
7 F 0.238 0.021 0.118
8 F 0.263 0.507 0.233
9 F 0.278 0.251 0.831
10 F 0.485 0.199 0.397
11 F 0.515 0.801 0.603
12 F 0.722 0.749 0.169
13 F 0.737 0.493 0.767
14 F 0.762 0.979 0.882
15 F 0.767 0.302 0.038
16 F 0.865 0.148 0.637

(2)
Starting from a GGA-PBE-relaxed structure, the powder diffraction line list of BaGePt was simulated for λ = 1.5418 Å (Cu Kα).

Main lines, in order of rising 2θ (10° ≤ 2θ ≤ 90°):
d 4.845, 18.31 deg, intensity 19; d 3.956, 22.48 deg, intensity 15; d 3.064, 29.14 deg, intensity 84; d 2.797, 32.00 deg, intensity 100; d 2.284, 39.46 deg, intensity 18; d 1.831, 49.80 deg, intensity 62; d 1.713, 53.50 deg, intensity 17; d 1.662, 55.28 deg, intensity 19; d 1.272, 74.59 deg, intensity 19; d 1.111, 87.84 deg, intensity 16

Structure:
a = 6.851 Å, b = 6.851 Å, c = 6.851 Å
α = 90.00°, β = 90.00°, γ = 90.00°
Element x y z (fractional)
1 Ba 0.136 0.136 0.136
2 Ba 0.364 0.864 0.636
3 Ba 0.636 0.364 0.864
4 Ba 0.864 0.636 0.364
5 Ge 0.158 0.342 0.658
6 Ge 0.342 0.658 0.158
7 Ge 0.658 0.158 0.342
8 Ge 0.842 0.842 0.842
9 Pt 0.090 0.590 0.910
10 Pt 0.410 0.410 0.410
11 Pt 0.590 0.910 0.090
12 Pt 0.910 0.090 0.590

(3)
Starting from a GGA-PBE-relaxed structure, the powder diffraction line list of LuGaO3 was simulated for λ = 1.5418 Å (Cu Kα).

Main lines, in order of rising 2θ (10° ≤ 2θ ≤ 90°):
d 5.853, 15.14 deg, intensity 32; d 2.995, 29.84 deg, intensity 37; d 2.926, 30.55 deg, intensity 38; d 2.901, 30.82 deg, intensity 23; d 2.666, 33.62 deg, intensity 100; d 2.093, 43.23 deg, intensity 38; d 1.729, 52.96 deg, intensity 34; d 1.635, 56.28 deg, intensity 30; d 1.489, 62.38 deg, intensity 30; d 1.451, 64.21 deg, intensity 17

Structure:
a = 3.458 Å, b = 3.458 Å, c = 11.705 Å
α = 90.00°, β = 90.00°, γ = 120.00°
Element x y z (fractional)
1 Lu 0.000 0.000 0.000
2 Lu 0.000 0.000 0.500
3 Ga 0.333 0.667 0.250
4 Ga 0.667 0.333 0.750
5 O 0.000 0.000 0.250
6 O 0.000 0.000 0.750
7 O 0.333 0.667 0.086
8 O 0.333 0.667 0.414
9 O 0.667 0.333 0.586
10 O 0.667 0.333 0.914